# 1
Starting from a GGA-PBE-relaxed structure, the powder diffraction line list of SrAl2SiN2O3 was calculated for Cu Kα X-rays.
Intensities are scaled so that the largest is 100.

Main lines, sorted by position (2θ from 5° to 70°):
| 2θ (°) | d (Å) | intensity | (hkl) |
| --- | --- | --- | --- |
| 25.81 | 3.452 | 21 | 0 1 3 |
| 29.43 | 3.035 | 100 | 1 2 1 |
| 31.54 | 2.837 | 93 | 1 1 3 |
| 33.21 | 2.698 | 24 | 0 1 4 |
| 36.09 | 2.489 | 34 | 2 0 0 |
| 41.08 | 2.197 | 21 | 2 1 2 |

Structure:
a = 4.9778 Å, b = 8.1273 Å, c = 11.4403 Å
α = 90.00°, β = 90.00°, γ = 90.00°
Space group P2_12_12_1 (No. 19)
Unique sites:
Sr 0.0133 0.0397 0.1629
Al 0.0010 0.1638 0.8389
Al 0.0120 0.4713 0.0426
Si 0.0043 0.2984 0.5747
N 0.1656 0.9819 0.9062
N 0.2062 0.6577 0.9942
O 0.0467 0.3482 0.9162
O 0.1229 0.2074 0.6958
O 0.1489 0.3679 0.1675

---

# 2
Starting from a GGA-PBE-relaxed structure, the powder diffraction line list of CsPt2S4 was calculated for Cu Kα X-rays.
Intensities are scaled so that the largest is 100.

Main lines, sorted by position (2θ from 5° to 70°):
| 2θ (°) | d (Å) | intensity | (hkl) |
| --- | --- | --- | --- |
| 15.76 | 5.623 | 67 | 1 1 0 |
| 22.36 | 3.976 | 100 | 2 0 0 |
| 28.87 | 3.093 | 34 | 2 1 1 |
| 31.83 | 2.812 | 23 | 2 2 0 |
| 32.73 | 2.736 | 66 | 1 1 2 |
| 46.30 | 1.961 | 63 | 3 1 2 |

Structure:
a = 7.9524 Å, b = 7.9524 Å, c = 6.2626 Å
α = 90.00°, β = 90.00°, γ = 90.00°
Space group I4/mmm (No. 139)
Unique sites:
Cs 0.0000 0.0000 0.0000
Pt 0.0000 0.5000 0.2500
S 0.0000 0.2869 0.5000